For Na2Pb2O3, DFT lattice parameters and positions (PBE) gives the calculated X-ray diffraction stick pattern in this record (copper Kα).

Principal peaks in the range 10 to 90 degrees two-theta, in order of rising 2θ:
- 15.7 deg, rel. 50, hkl 1 0 0
- 20.0 deg, rel. 84, hkl 0 0 2
- 20.3 deg, rel. 78, hkl 1 1 -1
- 21.3 deg, rel. 57, hkl 1 1 0
- 23.9 deg, rel. 77, hkl 1 1 -2
- 26.5 deg, rel. 39, hkl 1 1 1
- 28.8 deg, rel. 34, hkl 2 0 -2
- 30.6 deg, rel. 100, hkl 0 2 1

Cell and atoms:
```
data_Na2Pb2O3
_cell_length_a 6.327
_cell_length_b 6.175
_cell_length_c 9.976
_cell_angle_alpha 90.00
_cell_angle_beta 116.93
_cell_angle_gamma 90.00
_space_group_name_H-M_alt 'P 1 21/c 1'
_space_group_IT_number 14
loop_
_space_group_symop_operation_xyz
'x,y,z'
'-x,-y,-z'
'-x,y+1/2,-z+1/2'
'x,-y+1/2,z+1/2'
loop_
_atom_site_label
_atom_site_fract_x
_atom_site_fract_y
_atom_site_fract_z
Na1 0.189 0.167 0.077
Pb1 0.193 0.627 0.233
O1 0.000 0.000 0.500
O2 0.001 0.561 0.670
```

---

For Na2PbO4, DFT lattice parameters and positions (PBE) gives the calculated X-ray diffraction stick pattern in this record (copper Kα).

Principal peaks in the range 10 to 90 degrees two-theta, in order of rising 2θ:
- 15.7 deg, rel. 98, hkl 0 0 1
- 18.2 deg, rel. 100, hkl 1 0 0
- 28.9 deg, rel. 49, hkl 1 0 -2
- 30.7 deg, rel. 64, hkl 0 1 1
- 32.1 deg, rel. 54, hkl 1 1 -1
- 33.2 deg, rel. 34, hkl 2 0 -1
- 45.8 deg, rel. 38, hkl 2 1 0
- 51.4 deg, rel. 38, hkl 1 1 -3

Cell and atoms:
```
data_Na2PbO4
_cell_length_a 5.397
_cell_length_b 3.404
_cell_length_c 6.255
_cell_angle_alpha 90.00
_cell_angle_beta 115.52
_cell_angle_gamma 90.00
_space_group_name_H-M_alt 'P 1 2/m 1'
_space_group_IT_number 10
loop_
_space_group_symop_operation_xyz
'x,y,z'
'-x,-y,-z'
'-x,y,-z'
'x,-y,z'
loop_
_atom_site_label
_atom_site_fract_x
_atom_site_fract_y
_atom_site_fract_z
Na1 0.188 0.000 0.338
Pb1 0.500 0.500 0.000
O1 0.038 0.500 0.900
O2 0.419 0.000 0.745
```

---

For NaPb2O4, DFT lattice parameters and positions (PBE) gives the calculated X-ray diffraction stick pattern in this record (copper Kα).

Principal peaks in the range 10 to 90 degrees two-theta, in order of rising 2θ:
- 14.4 deg, rel. 100, hkl 0 0 1
- 29.1 deg, rel. 17, hkl 0 0 2
- 29.9 deg, rel. 53, hkl 1 1 0
- 32.8 deg, rel. 17, hkl 1 1 -1
- 33.9 deg, rel. 30, hkl 1 1 1
- 41.3 deg, rel. 16, hkl 1 1 -2
- 43.1 deg, rel. 20, hkl 1 1 2
- 53.2 deg, rel. 19, hkl 3 1 0

Cell and atoms:
```
data_NaPb2O4
_cell_length_a 5.988
_cell_length_b 3.457
_cell_length_c 6.155
_cell_angle_alpha 90.00
_cell_angle_beta 94.71
_cell_angle_gamma 90.00
_space_group_name_H-M_alt 'P 1 2/m 1'
_space_group_IT_number 10
loop_
_space_group_symop_operation_xyz
'x,y,z'
'-x,-y,-z'
'-x,y,-z'
'x,-y,z'
loop_
_atom_site_label
_atom_site_fract_x
_atom_site_fract_y
_atom_site_fract_z
Na1 0.000 0.000 0.000
Pb1 0.000 0.000 0.500
Pb2 0.500 0.500 0.500
O1 0.160 0.500 0.699
O2 0.298 0.000 0.316
```

---

For Rb2NaPb3O8, DFT lattice parameters and positions (PBE) gives the calculated X-ray diffraction stick pattern in this record (copper Kα).

Principal peaks in the range 10 to 90 degrees two-theta, in order of rising 2θ:
- 12.7 deg, rel. 100, hkl 0 0 3
- 15.6 deg, rel. 35, hkl 1 0 1
- 25.5 deg, rel. 35, hkl 0 0 6
- 29.2 deg, rel. 36, hkl 1 1 3
- 30.6 deg, rel. 45, hkl 0 2 1
- 31.5 deg, rel. 42, hkl 2 0 2
- 34.9 deg, rel. 52, hkl 0 2 4
- 43.0 deg, rel. 29, hkl 0 2 7

Cell and atoms:
```
data_Rb2NaPb3O8
_cell_length_a 6.8154
_cell_length_b 6.8154
_cell_length_c 20.9522
_cell_angle_alpha 90.00
_cell_angle_beta 90.00
_cell_angle_gamma 120.00
_space_group_name_H-M_alt 'R 3 m'
_space_group_IT_number 160
_space_group_name_Hall 'R 3 -2"'
loop_
_atom_site_label
_atom_site_fract_x
_atom_site_fract_y
_atom_site_fract_z
Rb1 0.0000 0.0000 0.0000
Rb2 0.0000 0.0000 0.3539
Na1 0.0000 0.0000 0.8362
Pb1 0.1670 0.3339 0.1900
O1 0.0000 0.0000 0.1336
O2 0.0000 0.0000 0.5793
O3 0.0376 0.5188 0.1318
O4 0.1745 0.3491 0.9081
```

---

For Na2Rh2PbO6, DFT lattice parameters and positions (PBE) gives the calculated X-ray diffraction stick pattern in this record (copper Kα).

Principal peaks in the range 10 to 90 degrees two-theta, in order of rising 2θ:
- 16.2 deg, rel. 100, hkl 0 0 1
- 32.4 deg, rel. 29, hkl 1 3 0
- 32.7 deg, rel. 30, hkl 0 0 2
- 33.5 deg, rel. 29, hkl 1 3 -1
- 38.7 deg, rel. 21, hkl 2 0 -2
- 39.2 deg, rel. 41, hkl 1 3 1
- 54.9 deg, rel. 13, hkl 1 3 -3
- 66.7 deg, rel. 13, hkl 3 3 -3

Cell and atoms:
```
data_Na2Rh2PbO6
_cell_length_a 5.525
_cell_length_b 9.791
_cell_length_c 5.841
_cell_angle_alpha 90.00
_cell_angle_beta 110.35
_cell_angle_gamma 90.00
_space_group_name_H-M_alt 'C 1 2/m 1'
_space_group_IT_number 12
loop_
_space_group_symop_operation_xyz
'x,y,z'
'-x,-y,-z'
'-x,y,-z'
'x,-y,z'
'x+1/2,y+1/2,z'
'-x+1/2,-y+1/2,-z'
'-x+1/2,y+1/2,-z'
'x+1/2,-y+1/2,z'
loop_
_atom_site_label
_atom_site_fract_x
_atom_site_fract_y
_atom_site_fract_z
Na1 0.000 0.170 0.000
Rh1 0.000 0.334 0.500
Pb1 0.000 0.000 0.500
O1 0.216 0.500 0.698
O2 0.244 0.183 0.693
```

---

For Na3PbS4O12, DFT lattice parameters and positions (PBE) gives the calculated X-ray diffraction stick pattern in this record (copper Kα).

Principal peaks in the range 10 to 90 degrees two-theta, in order of rising 2θ:
- 14.0 deg, rel. 77, hkl 1 0 1
- 16.1 deg, rel. 66, hkl 1 1 0
- 26.9 deg, rel. 43, hkl 2 1 1
- 28.1 deg, rel. 33, hkl 3 0 0
- 28.2 deg, rel. 100, hkl 2 0 2
- 32.7 deg, rel. 47, hkl 1 2 2
- 35.6 deg, rel. 35, hkl 1 3 1
- 43.5 deg, rel. 29, hkl 0 4 2

Cell and atoms:
```
data_Na3PbS4O12
_cell_length_a 11.0082
_cell_length_b 11.0082
_cell_length_c 8.4544
_cell_angle_alpha 90.00
_cell_angle_beta 90.00
_cell_angle_gamma 120.00
_space_group_name_H-M_alt 'R 3 2'
_space_group_IT_number 155
_space_group_name_Hall 'R 3 2"'
loop_
_atom_site_label
_atom_site_fract_x
_atom_site_fract_y
_atom_site_fract_z
Na1 0.0000 0.5707 0.0000
Pb1 0.0000 0.0000 0.0000
S1 0.0000 0.0000 0.5000
S2 0.0000 0.4158 0.5000
O1 0.0000 0.5530 0.5000
O2 0.0000 0.8692 0.5000
O3 0.0255 0.1943 0.1941
```

---

Repeat the fourth record exactly.
For Rb2NaPb3O8, DFT lattice parameters and positions (PBE) gives the calculated X-ray diffraction stick pattern in this record (copper Kα).

Principal peaks in the range 10 to 90 degrees two-theta, in order of rising 2θ:
- 12.7 deg, rel. 100, hkl 0 0 3
- 15.6 deg, rel. 35, hkl 1 0 1
- 25.5 deg, rel. 35, hkl 0 0 6
- 29.2 deg, rel. 36, hkl 1 1 3
- 30.6 deg, rel. 45, hkl 0 2 1
- 31.5 deg, rel. 42, hkl 2 0 2
- 34.9 deg, rel. 52, hkl 0 2 4
- 43.0 deg, rel. 29, hkl 0 2 7

Cell and atoms:
```
data_Rb2NaPb3O8
_cell_length_a 6.8154
_cell_length_b 6.8154
_cell_length_c 20.9522
_cell_angle_alpha 90.00
_cell_angle_beta 90.00
_cell_angle_gamma 120.00
_space_group_name_H-M_alt 'R 3 m'
_space_group_IT_number 160
_space_group_name_Hall 'R 3 -2"'
loop_
_atom_site_label
_atom_site_fract_x
_atom_site_fract_y
_atom_site_fract_z
Rb1 0.0000 0.0000 0.0000
Rb2 0.0000 0.0000 0.3539
Na1 0.0000 0.0000 0.8362
Pb1 0.1670 0.3339 0.1900
O1 0.0000 0.0000 0.1336
O2 0.0000 0.0000 0.5793
O3 0.0376 0.5188 0.1318
O4 0.1745 0.3491 0.9081
```